The following is a calculated powder XRD pattern of Tb8Er3In2. It was derived from the GGA-PBE geometry in Alexandria, using Cu Kα X-rays.
Peak positions follow from Bragg's law for the DFT cell and can differ from measured ones.

Atomic structure:
```
Tb8Er3In2
1.0
6.2768 0.0000 0.0000
-2.2682 6.7587 0.0000
-0.0766 -0.1126 9.5235
Tb Er In
8 3 2
Cartesian
-0.6439 2.4969 3.3684 Tb
-1.6806 5.8407 3.0316 Tb
0.1878 6.4395 7.8416 Tb
1.6097 3.1209 7.6800 Tb
2.3223 3.5252 1.8435 Tb
3.7442 0.2067 1.6819 Tb
5.6126 0.8054 6.4919 Tb
4.5759 4.1492 6.1551 Tb
-1.1341 3.3794 0.0000 Er
2.4809 1.5858 4.7912 Er
1.4512 5.0603 4.7323 Er
0.7813 1.0720 0.5914 In
3.1507 5.5741 8.9321 In
```

Peak list (10 most intense, 2θ = 10–90°, low angle first)
Position (°2θ), intensity
28.12, 31
30.04, 43
31.61, 49
31.80, 100
31.97, 95
32.11, 51
32.68, 59
34.53, 83
35.61, 51
51.30, 19

The following is a calculated powder XRD pattern of Tb8Er6In. It was derived from the GGA-PBE geometry in Alexandria, using Cu Kα X-rays.
Peak positions follow from Bragg's law for the DFT cell and can differ from measured ones.

Atomic structure:
```
Tb8Er6In
1.0
4.4634 2.5770 6.7349
-4.4634 2.5770 6.7349
0.0000 -5.1539 6.7349
Tb Er In
8 6 1
Cartesian
0.0000 0.0000 1.5369 Tb
-1.7595 0.8193 7.2330 Tb
0.1702 -1.9334 7.2330 Tb
-1.5893 -1.1141 12.9716 Tb
1.5893 1.1141 7.2330 Tb
-0.1702 1.9334 12.9717 Tb
1.7595 -0.8193 12.9717 Tb
0.0000 0.0000 18.6678 Tb
-2.4701 -2.1114 9.3516 Er
-3.0635 1.0835 10.8531 Er
0.5935 -3.1948 10.8531 Er
-0.5935 3.1949 9.3516 Er
3.0636 -1.0835 9.3516 Er
2.4701 2.1114 10.8531 Er
0.0000 0.0000 10.1023 In
```

Peak list (10 most intense, 2θ = 10–90°, low angle first)
Position (°2θ), intensity
30.92, 45
31.88, 100
32.04, 62
33.13, 47
33.33, 21
35.49, 23
37.36, 22
54.19, 20
56.23, 25
61.35, 15

The following is a calculated powder XRD pattern of TbEr7In2. It was derived from the GGA-PBE geometry in Alexandria, using Cu Kα X-rays.
Peak positions follow from Bragg's law for the DFT cell and can differ from measured ones.

Atomic structure:
```
TbEr7In2
1.0
4.5322 -7.6371 0.0000
4.5322 7.6371 0.0000
0.0000 0.0000 5.3933
Tb Er In
1 7 2
Cartesian
0.0000 0.0000 0.0000 Tb
1.6385 1.8558 2.6966 Er
4.5322 4.1499 0.0000 Er
1.6385 -1.8558 2.6966 Er
4.5322 0.0000 2.6966 Er
7.4260 1.8558 2.6966 Er
4.5322 -4.1499 0.0000 Er
7.4260 -1.8558 2.6966 Er
4.5322 2.9981 2.6966 In
4.5322 -2.9981 2.6966 In
```

Peak list (10 most intense, 2θ = 10–90°, low angle first)
Position (°2θ), intensity
16.44, 54
20.02, 28
25.67, 30
28.64, 67
30.61, 85
33.22, 71
34.53, 99
35.19, 100
45.80, 57
61.96, 30

The following is a calculated powder XRD pattern of Tb8Er6In. It was derived from the GGA-PBE geometry in Alexandria, using Cu Kα X-rays.
Peak positions follow from Bragg's law for the DFT cell and can differ from measured ones.

Atomic structure:
```
Tb8Er6In
1.0
9.2888 0.0000 0.0000
-4.6444 8.0443 0.0000
0.0000 0.0000 6.3321
Tb Er In
8 6 1
Cartesian
-0.8744 2.1674 1.1661 Tb
-2.3302 7.7179 1.1661 Tb
1.4398 1.8410 5.1660 Tb
0.0000 5.3629 1.1612 Tb
4.6444 2.6814 5.1709 Tb
3.2046 6.2034 1.1661 Tb
6.9746 0.3264 5.1660 Tb
5.5188 5.8770 5.1660 Tb
-1.2151 3.6290 4.2859 Er
-0.8941 7.2821 4.2859 Er
2.5353 2.8668 2.0462 Er
2.1091 5.1776 4.2859 Er
5.5385 0.7622 2.0462 Er
5.8595 4.4154 2.0462 Er
0.0000 0.0000 3.1661 In
```

Peak list (10 most intense, 2θ = 10–90°, low angle first)
Position (°2θ), intensity
26.25, 13
28.19, 15
29.38, 25
30.34, 13
32.67, 100
34.28, 24
41.16, 12
52.10, 17
60.32, 14
62.87, 12

The following is a calculated powder XRD pattern of Tb2Er3In3. It was derived from the GGA-PBE geometry in Alexandria, using Cu Kα X-rays.
Peak positions follow from Bragg's law for the DFT cell and can differ from measured ones.

Atomic structure:
```
Tb2Er3In3
1.0
-2.2264 2.4292 10.1003
2.2264 -2.4292 10.1003
2.2264 2.4292 -10.1003
Tb Er In
2 3 3
Cartesian
0.0000 0.0000 4.8432 Tb
0.0000 0.0000 15.3573 Tb
0.0000 0.0000 0.0000 Er
2.2264 0.0000 7.7083 Er
0.0000 2.4292 2.3920 Er
2.2264 0.0000 2.5098 In
0.0000 0.0000 10.1003 In
0.0000 2.4292 7.5905 In
```

Peak list (10 most intense, 2θ = 10–90°, low angle first)
Position (°2θ), intensity
32.53, 100
35.55, 18
37.01, 18
40.52, 14
52.25, 12
56.03, 11
61.95, 13
63.88, 14
68.14, 11
68.69, 11

The following is a calculated powder XRD pattern of Tb5Er2In5. It was derived from the GGA-PBE geometry in Alexandria, using Cu Kα X-rays.
Peak positions follow from Bragg's law for the DFT cell and can differ from measured ones.

Atomic structure:
```
Tb5Er2In5
1.0
5.9094 -2.5589 0.0000
5.9094 2.5589 0.0000
-4.0673 0.0000 11.1922
Tb Er In
5 2 5
Cartesian
0.0000 0.0000 0.0000 Tb
-1.5708 0.0000 8.6736 Tb
-0.2288 0.0000 5.5990 Tb
7.9802 0.0000 5.5932 Tb
9.3223 0.0000 2.5185 Tb
2.0243 0.0000 8.3081 Er
5.7271 0.0000 2.8841 Er
1.6438 0.0000 3.0665 In
3.7803 0.0000 0.4077 In
3.8757 0.0000 5.5961 In
3.9711 0.0000 10.7845 In
6.1076 0.0000 8.1257 In
```

Peak list (10 most intense, 2θ = 10–90°, low angle first)
Position (°2θ), intensity
31.99, 52
32.72, 100
32.98, 98
35.06, 60
46.08, 12
48.19, 33
57.30, 15
57.81, 12
61.43, 18
61.59, 16